This entry pairs a crystal structure of HoScMn with its calculated X-ray diffraction stick pattern. Radiation: CuKα. Structure: a crystal structure in Alexandria, relaxed with PBE.

Crystal structure
Unit cell a=6.6817 b=6.6817 c=7.3936 alpha=90.00 beta=90.00 gamma=124.38
Fractional coordinates of all 12 atoms:
Ho 0.1927 0.8073 0.8947
Ho 0.3073 0.6927 0.3947
Ho 0.6927 0.3073 0.6053
Ho 0.8073 0.1927 0.1053
Sc 0.2011 0.2989 0.7500
Sc 0.2989 0.2011 0.2500
Sc 0.7011 0.7989 0.7500
Sc 0.7989 0.7011 0.2500
Mn 0.0941 0.9059 0.5502
Mn 0.4059 0.5941 0.0502
Mn 0.5941 0.4059 0.9498
Mn 0.9059 0.0941 0.4498

Main lines, most intense first (10° ≤ 2θ ≤ 90°):
Position (°2θ)  intensity
29.08  100
42.69  67
29.41  61
28.64  47
34.72  44
32.47  43